[1]
Diffraction record for ThAl2Cu2Si. The powder diffraction line list is calculated, not measured: it uses a structure optimized by DFT (PBE) and Cu Kα (λ = 1.5418 Å).
Neutral-atom scattering factors, no anomalous dispersion.

Structural model:
```
data_ThAl2Cu2Si
_chemical_formula_sum 'Th1 Al2 Cu2 Si1'
_cell_length_a 4.4512
_cell_length_b 4.4512
_cell_length_c 5.6912
_cell_angle_alpha 90.00
_cell_angle_beta 90.00
_cell_angle_gamma 90.00
_space_group_name_H-M_alt 'P 4/m m m'
_space_group_IT_number 123
_space_group_name_Hall '-P 4 2'
loop_
_atom_site_label
_atom_site_fract_x
_atom_site_fract_y
_atom_site_fract_z
Th1 0.0000 0.0000 0.0000
Al1 0.5000 0.5000 0.2336
Cu1 0.0000 0.5000 0.5000
Si1 0.0000 0.0000 0.5000
```

Peak list (10 most intense, 5 to 70 degrees two-theta, in order of rising 2θ)
hkl  Position (°2θ)  Rel. int.
1 0 0  19.95  55
1 0 1  25.40  56
0 0 2  31.44  27
1 1 1  32.51  100
1 0 2  37.51  55
2 0 0  40.53  47
2 1 1  48.44  21
2 0 2  52.18  26
2 1 2  56.41  34
3 1 1  68.69  23


[2]
Diffraction record for Sm2Al3Cu5. The powder diffraction line list is calculated, not measured: it uses a structure optimized by DFT (PBE) and Cu Kα (λ = 1.5418 Å).
Neutral-atom scattering factors, no anomalous dispersion.

Structural model:
```
data_Sm2Al3Cu5
_chemical_formula_sum 'Sm2 Al3 Cu5'
_cell_length_a 4.1565
_cell_length_b 4.1565
_cell_length_c 10.3211
_cell_angle_alpha 90.00
_cell_angle_beta 90.00
_cell_angle_gamma 90.00
_space_group_name_H-M_alt 'P -4 m 2'
_space_group_IT_number 115
loop_
_space_group_symop_operation_xyz
'x,y,z'
'y,-x,-z'
'-x,-y,z'
'-y,x,-z'
'-x,y,z'
'-y,-x,-z'
'x,-y,z'
'y,x,-z'
loop_
_atom_site_label
_atom_site_fract_x
_atom_site_fract_y
_atom_site_fract_z
Sm1 0.0000 0.5000 0.2352
Al1 0.0000 0.5000 0.6454
Al2 0.5000 0.5000 0.5000
Cu1 0.0000 0.0000 0.0000
Cu2 0.0000 0.0000 0.5000
Cu3 0.0000 0.5000 0.8767
Cu4 0.5000 0.5000 0.0000
```

Peak list (10 most intense, 5 to 70 degrees two-theta, in order of rising 2θ)
hkl  Position (°2θ)  Rel. int.
0 0 1  8.57  38
1 0 1  23.07  26
1 1 0  30.41  17
1 0 3  33.82  65
1 1 2  35.14  100
2 0 0  43.55  49
1 0 5  49.29  22
2 1 3  56.25  29
2 2 0  63.28  16
2 1 5  67.85  17


[3]
Diffraction record for SmAl9Cu2. The powder diffraction line list is calculated, not measured: it uses a structure optimized by DFT (PBE) and Cu Kα (λ = 1.5418 Å).
Neutral-atom scattering factors, no anomalous dispersion.

Structural model:
```
data_SmAl9Cu2
_chemical_formula_sum 'Sm4 Al36 Cu8'
_cell_length_a 10.7049
_cell_length_b 10.7049
_cell_length_c 7.1065
_cell_angle_alpha 90.00
_cell_angle_beta 90.00
_cell_angle_gamma 90.00
_space_group_name_H-M_alt 'I 41/a m d'
_space_group_IT_number 141
loop_
_space_group_symop_operation_xyz
'x,y,z'
'-x,-y,-z'
'-y+1/4,x+3/4,z+1/4'
'y+1/4,-x+3/4,-z+1/4'
'-x+1/2,-y,z+1/2'
'x+1/2,y,-z+1/2'
'y+1/4,-x+1/4,z+3/4'
'-y+1/4,x+1/4,-z+3/4'
'x,-y,-z'
'-x,y,z'
'-y+1/4,-x+1/4,-z+3/4'
'y+1/4,x+1/4,z+3/4'
'-x+1/2,y,-z+1/2'
'x+1/2,-y,z+1/2'
'y+1/4,x+3/4,-z+1/4'
'-y+1/4,-x+3/4,z+1/4'
'x+1/2,y+1/2,z+1/2'
'-x+1/2,-y+1/2,-z+1/2'
'-y+3/4,x+1/4,z+3/4'
'y+3/4,-x+1/4,-z+3/4'
'-x,-y+1/2,z'
'x,y+1/2,-z'
'y+3/4,-x+3/4,z+1/4'
'-y+3/4,x+3/4,-z+1/4'
'x+1/2,-y+1/2,-z+1/2'
'-x+1/2,y+1/2,z+1/2'
'-y+3/4,-x+3/4,-z+1/4'
'y+3/4,x+3/4,z+1/4'
'-x,y+1/2,-z'
'x,-y+1/2,z'
'y+3/4,x+1/4,-z+3/4'
'-y+3/4,-x+1/4,z+3/4'
loop_
_atom_site_label
_atom_site_fract_x
_atom_site_fract_y
_atom_site_fract_z
Sm1 0.0000 0.2500 0.3750
Al1 0.0000 0.2500 0.8750
Al2 0.1230 0.0493 0.6829
Cu1 0.0000 0.0000 0.0000
```

Peak list (10 most intense, 5 to 70 degrees two-theta, in order of rising 2θ)
hkl  Position (°2θ)  Rel. int.
2 1 1  22.39  100
1 1 2  27.73  36
3 2 1  32.69  78
4 0 0  33.48  32
3 1 2  36.67  99
4 2 0  37.58  57
1 0 3  38.94  42
4 2 2  45.70  35
5 2 1  47.49  27
5 5 2  67.22  25


[4]
Diffraction record for SmAl5Cu3. The powder diffraction line list is calculated, not measured: it uses a structure optimized by DFT (PBE) and Cu Kα (λ = 1.5418 Å).
Neutral-atom scattering factors, no anomalous dispersion.

Structural model:
```
data_SmAl5Cu3
_chemical_formula_sum 'Sm4 Al20 Cu12'
_cell_length_a 3.9169
_cell_length_b 12.5739
_cell_length_c 12.5500
_cell_angle_alpha 90.00
_cell_angle_beta 90.00
_cell_angle_gamma 90.00
_space_group_name_H-M_alt 'C m c m'
_space_group_IT_number 63
_space_group_name_Hall '-C 2c 2'
loop_
_atom_site_label
_atom_site_fract_x
_atom_site_fract_y
_atom_site_fract_z
Sm1 0.0000 0.1545 0.2500
Al1 0.0000 0.0000 0.0000
Al2 0.0000 0.1999 0.5658
Al3 0.0000 0.4430 0.1487
Cu1 0.0000 0.1326 0.7500
Cu2 0.0000 0.3889 0.5472
```

Peak list (10 most intense, 5 to 70 degrees two-theta, in order of rising 2θ)
hkl  Position (°2θ)  Rel. int.
1 1 2  27.77  69
0 4 0  28.42  76
1 3 0  31.26  28
1 1 3  32.10  59
1 3 2  34.44  100
1 1 4  37.41  29
0 2 5  38.62  24
1 5 0  42.75  29
2 0 0  46.36  38
1 5 3  48.21  23


[5]
Diffraction record for Sm3Al3Cu8. The powder diffraction line list is calculated, not measured: it uses a structure optimized by DFT (PBE) and Cu Kα (λ = 1.5418 Å).
Neutral-atom scattering factors, no anomalous dispersion.

Structural model:
```
data_Sm3Al3Cu8
_chemical_formula_sum 'Sm6 Al6 Cu16'
_cell_length_a 4.2544
_cell_length_b 8.8501
_cell_length_c 12.7514
_cell_angle_alpha 90.00
_cell_angle_beta 90.00
_cell_angle_gamma 90.00
_space_group_name_H-M_alt 'I m m m'
_space_group_IT_number 71
_space_group_name_Hall '-I 2 2'
loop_
_atom_site_label
_atom_site_fract_x
_atom_site_fract_y
_atom_site_fract_z
Sm1 0.0000 0.0000 0.0000
Sm2 0.0000 0.0000 0.2942
Al1 0.0000 0.2050 0.5000
Al2 0.0000 0.5000 0.0000
Cu1 0.0000 0.2858 0.1288
Cu2 0.0000 0.3540 0.3338
```

Peak list (10 most intense, 5 to 70 degrees two-theta, in order of rising 2θ)
hkl  Position (°2θ)  Rel. int.
0 1 3  23.21  30
1 0 3  29.71  33
0 2 4  34.68  40
1 2 3  36.12  74
1 1 4  36.66  40
1 3 0  37.09  100
1 0 5  41.27  18
2 0 0  42.51  56
2 2 4  55.97  19
2 3 3  57.67  24


[6]
Diffraction record for Sm2AlCu16. The powder diffraction line list is calculated, not measured: it uses a structure optimized by DFT (PBE) and Cu Kα (λ = 1.5418 Å).
Neutral-atom scattering factors, no anomalous dispersion.

Structural model:
```
data_Sm2AlCu16
_chemical_formula_sum 'Sm6 Al3 Cu48'
_cell_length_a 8.6075
_cell_length_b 8.6075
_cell_length_c 12.6360
_cell_angle_alpha 90.00
_cell_angle_beta 90.00
_cell_angle_gamma 120.00
_space_group_name_H-M_alt 'R 3 m'
_space_group_IT_number 160
_space_group_name_Hall 'R 3 -2"'
loop_
_atom_site_label
_atom_site_fract_x
_atom_site_fract_y
_atom_site_fract_z
Sm1 0.0000 0.0000 0.0000
Sm2 0.0000 0.0000 0.3083
Al1 0.0000 0.0000 0.5624
Cu1 0.0000 0.0000 0.7580
Cu2 0.9997 0.2943 0.6614
Cu3 0.0014 0.5007 0.1610
Cu4 0.0013 0.5007 0.5063
Cu5 0.1671 0.3342 0.1466
```

Peak list (10 most intense, 5 to 70 degrees two-theta, in order of rising 2θ)
hkl  Position (°2θ)  Rel. int.
1 1 3  29.68  30
3 0 0  36.15  33
0 2 4  37.31  27
2 2 0  41.99  55
3 0 3  42.23  100
0 0 6  42.97  47
2 2 3  47.44  28
1 4 3  61.07  13
2 2 6  61.64  24
3 3 3  69.18  15


[7]
Diffraction record for Sm2Al5Cu4. The powder diffraction line list is calculated, not measured: it uses a structure optimized by DFT (PBE) and Cu Kα (λ = 1.5418 Å).
Neutral-atom scattering factors, no anomalous dispersion.

Structural model:
```
data_Sm2Al5Cu4
_chemical_formula_sum 'Sm8 Al20 Cu16'
_cell_length_a 5.5413
_cell_length_b 9.5337
_cell_length_c 14.9320
_cell_angle_alpha 90.00
_cell_angle_beta 90.00
_cell_angle_gamma 90.00
_space_group_name_H-M_alt 'F m m m'
_space_group_IT_number 69
_space_group_name_Hall '-F 2 2'
loop_
_atom_site_label
_atom_site_fract_x
_atom_site_fract_y
_atom_site_fract_z
Sm1 0.0000 0.0000 0.1339
Al1 0.0000 0.0000 0.5000
Al2 0.2500 0.2500 0.0000
Al3 0.2500 0.2500 0.2500
Cu1 0.0000 0.1417 0.3652
```

Peak list (10 most intense, 5 to 70 degrees two-theta, in order of rising 2θ)
hkl  Position (°2θ)  Rel. int.
0 0 4  23.84  63
0 2 4  30.41  39
2 0 0  32.31  40
1 3 1  33.04  70
1 3 3  37.29  100
2 2 0  37.55  31
2 0 4  40.55  72
1 3 5  44.74  21
1 3 7  54.38  34
3 3 3  60.93  23


[8]
Diffraction record for SmAl2ZnCu2. The powder diffraction line list is calculated, not measured: it uses a structure optimized by DFT (PBE) and Cu Kα (λ = 1.5418 Å).
Neutral-atom scattering factors, no anomalous dispersion.

Structural model:
```
data_SmAl2ZnCu2
_chemical_formula_sum 'Sm1 Al2 Zn1 Cu2'
_cell_length_a 4.4468
_cell_length_b 4.4468
_cell_length_c 5.6242
_cell_angle_alpha 90.00
_cell_angle_beta 90.00
_cell_angle_gamma 90.00
_space_group_name_H-M_alt 'P 4/m m m'
_space_group_IT_number 123
_space_group_name_Hall '-P 4 2'
loop_
_atom_site_label
_atom_site_fract_x
_atom_site_fract_y
_atom_site_fract_z
Sm1 0.0000 0.0000 0.0000
Al1 0.5000 0.5000 0.2411
Zn1 0.0000 0.0000 0.5000
Cu1 0.0000 0.5000 0.5000
```

Peak list (10 most intense, 5 to 70 degrees two-theta, in order of rising 2θ)
hkl  Position (°2θ)  Rel. int.
1 0 0  19.97  91
1 1 0  28.38  27
0 0 2  31.82  50
1 1 1  32.63  96
1 0 2  37.85  100
2 0 0  40.57  93
2 0 2  52.47  47
2 1 2  56.69  61
2 2 0  58.73  30
3 1 1  68.82  25


[9]
Diffraction record for SrAl12Cu4. The powder diffraction line list is calculated, not measured: it uses a structure optimized by DFT (PBE) and Cu Kα (λ = 1.5418 Å).
Neutral-atom scattering factors, no anomalous dispersion.

Structural model:
```
data_SrAl12Cu4
_chemical_formula_sum 'Sr2 Al24 Cu8'
_cell_length_a 8.6775
_cell_length_b 8.6775
_cell_length_c 8.6775
_cell_angle_alpha 90.00
_cell_angle_beta 90.00
_cell_angle_gamma 90.00
_space_group_name_H-M_alt 'I m -3'
_space_group_IT_number 204
_space_group_name_Hall '-I 2 2 3'
loop_
_atom_site_label
_atom_site_fract_x
_atom_site_fract_y
_atom_site_fract_z
Sr1 0.0000 0.0000 0.0000
Al1 0.0000 0.3448 0.1689
Cu1 0.2500 0.2500 0.2500
```

Peak list (10 most intense, 5 to 70 degrees two-theta, in order of rising 2θ)
hkl  Position (°2θ)  Rel. int.
2 0 0  20.47  45
2 1 1  25.14  17
2 2 0  29.11  100
3 0 1  32.63  84
3 1 2  38.83  55
4 0 0  41.63  27
4 0 2  46.82  46
4 2 2  51.60  92
4 3 1  53.87  29
6 2 0  68.37  26


[10]
Diffraction record for Sr3Al2Cu2. The powder diffraction line list is calculated, not measured: it uses a structure optimized by DFT (PBE) and Cu Kα (λ = 1.5418 Å).
Neutral-atom scattering factors, no anomalous dispersion.

Structural model:
```
data_Sr3Al2Cu2
_chemical_formula_sum 'Sr12 Al8 Cu8'
_cell_length_a 6.1677
_cell_length_b 8.7206
_cell_length_c 13.8605
_cell_angle_alpha 90.00
_cell_angle_beta 90.00
_cell_angle_gamma 90.00
_space_group_name_H-M_alt 'P b c m'
_space_group_IT_number 57
loop_
_space_group_symop_operation_xyz
'x,y,z'
'-x,-y,-z'
'-x,-y,z+1/2'
'x,y,-z+1/2'
'x,-y+1/2,-z'
'-x,y+1/2,z'
'-x,y+1/2,-z+1/2'
'x,-y+1/2,z+1/2'
loop_
_atom_site_label
_atom_site_fract_x
_atom_site_fract_y
_atom_site_fract_z
Sr1 0.1377 0.1102 0.1003
Sr2 0.3387 0.7378 0.7500
Al1 0.1927 0.0868 0.7500
Al2 0.3838 0.7500 0.0000
Cu1 0.3912 0.0270 0.5854
```

Peak list (10 most intense, 5 to 70 degrees two-theta, in order of rising 2θ)
hkl  Position (°2θ)  Rel. int.
1 1 2  21.82  27
0 2 3  28.15  43
2 1 0  30.75  41
1 1 4  31.34  47
2 1 1  31.44  30
1 2 3  31.73  42
0 2 4  33.02  33
1 3 0  34.10  57
2 1 3  36.52  100
0 0 6  38.99  35


[11]
Diffraction record for TaAlCu2. The powder diffraction line list is calculated, not measured: it uses a structure optimized by DFT (PBE) and Cu Kα (λ = 1.5418 Å).
Neutral-atom scattering factors, no anomalous dispersion.

Structural model:
```
data_TaAlCu2
_chemical_formula_sum 'Ta2 Al2 Cu4'
_cell_length_a 10.2292
_cell_length_b 2.7646
_cell_length_c 4.5812
_cell_angle_alpha 90.00
_cell_angle_beta 116.56
_cell_angle_gamma 90.00
_space_group_name_H-M_alt 'C 1 m 1'
_space_group_IT_number 8
loop_
_space_group_symop_operation_xyz
'x,y,z'
'x,-y,z'
'x+1/2,y+1/2,z'
'x+1/2,-y+1/2,z'
loop_
_atom_site_label
_atom_site_fract_x
_atom_site_fract_y
_atom_site_fract_z
Ta1 0.0000 0.0000 0.0000
Al1 0.2327 0.0000 0.7288
Cu1 0.2656 0.5000 0.2623
Cu2 0.4994 0.0000 0.4998
```

Peak list (10 most intense, 5 to 70 degrees two-theta, in order of rising 2θ)
hkl  Position (°2θ)  Rel. int.
2 0 0  19.40  38
0 0 1  21.69  29
1 1 0  33.87  13
4 0 -1  35.36  15
1 1 -1  38.02  14
2 0 -2  39.36  64
1 1 1  43.03  100
4 0 -2  44.22  13
5 1 -1  55.90  10
2 0 2  56.89  21


[12]
Diffraction record for TaAlCu2. The powder diffraction line list is calculated, not measured: it uses a structure optimized by DFT (PBE) and Cu Kα (λ = 1.5418 Å).
Neutral-atom scattering factors, no anomalous dispersion.

Structural model:
```
data_TaAlCu2
_chemical_formula_sum 'Ta2 Al2 Cu4'
_cell_length_a 5.4362
_cell_length_b 8.9215
_cell_length_c 2.6363
_cell_angle_alpha 90.00
_cell_angle_beta 112.45
_cell_angle_gamma 90.00
_space_group_name_H-M_alt 'C 1 2/m 1'
_space_group_IT_number 12
loop_
_space_group_symop_operation_xyz
'x,y,z'
'-x,-y,-z'
'-x,y,-z'
'x,-y,z'
'x+1/2,y+1/2,z'
'-x+1/2,-y+1/2,-z'
'-x+1/2,y+1/2,-z'
'x+1/2,-y+1/2,z'
loop_
_atom_site_label
_atom_site_fract_x
_atom_site_fract_y
_atom_site_fract_z
Ta1 0.0000 0.0000 0.0000
Al1 0.0000 0.5000 0.0000
Cu1 0.2500 0.2500 0.5000
```

Peak list (10 most intense, 5 to 70 degrees two-theta, in order of rising 2θ)
hkl  Position (°2θ)  Rel. int.
1 1 0  20.29  100
1 3 0  35.06  26
1 1 -1  35.72  27
0 4 0  40.44  45
2 0 -1  40.56  45
2 2 0  41.24  86
0 2 1  42.27  80
1 3 -1  46.18  12
2 4 -1  58.61  30
2 0 1  62.40  17


[13]
Diffraction record for Tb2Al3Cu5. The powder diffraction line list is calculated, not measured: it uses a structure optimized by DFT (PBE) and Cu Kα (λ = 1.5418 Å).
Neutral-atom scattering factors, no anomalous dispersion.

Structural model:
```
data_Tb2Al3Cu5
_chemical_formula_sum 'Tb2 Al3 Cu5'
_cell_length_a 4.0586
_cell_length_b 4.0586
_cell_length_c 10.5401
_cell_angle_alpha 90.00
_cell_angle_beta 90.00
_cell_angle_gamma 90.00
_space_group_name_H-M_alt 'P -4 m 2'
_space_group_IT_number 115
loop_
_space_group_symop_operation_xyz
'x,y,z'
'y,-x,-z'
'-x,-y,z'
'-y,x,-z'
'-x,y,z'
'-y,-x,-z'
'x,-y,z'
'y,x,-z'
loop_
_atom_site_label
_atom_site_fract_x
_atom_site_fract_y
_atom_site_fract_z
Tb1 0.0000 0.5000 0.2345
Al1 0.0000 0.5000 0.6463
Al2 0.5000 0.5000 0.5000
Cu1 0.0000 0.0000 0.0000
Cu2 0.0000 0.0000 0.5000
Cu3 0.0000 0.5000 0.8706
Cu4 0.5000 0.5000 0.0000
```

Peak list (10 most intense, 5 to 70 degrees two-theta, in order of rising 2θ)
hkl  Position (°2θ)  Rel. int.
0 0 1  8.39  37
1 0 1  23.49  27
1 1 0  31.16  16
1 0 3  33.74  62
1 1 2  35.62  100
2 0 0  44.65  45
1 0 5  48.67  25
2 1 3  57.12  33
2 2 0  64.99  14
2 1 5  68.18  18